Computed XRD peak list of NaCo2F6 for Cu Kα, from a cell relaxed with PBE+U.

Principal peaks in the range 2θ from 10° to 90°, sorted by position:
- 2θ 17.92, I = 89, hkl 0 0 1
- 2θ 19.43, I = 34, hkl 1 0 0
- 2θ 26.55, I = 100, hkl 1 0 1
- 2θ 34.00, I = 27, hkl 1 1 0
- 2θ 38.69, I = 75, hkl 2 -1 1
- 2θ 50.57, I = 79, hkl 2 -1 2
- 2θ 56.45, I = 22, hkl 3 -1 1
- 2θ 60.84, I = 31, hkl 3 0 0

Cell and atoms:
Cell lengths 5.2739, 5.2739, 4.9512 Å; angles 90.00, 90.00, 120.00 degrees
Space group P-31m (No. 162)
Unique sites:
Na (0.0000, 0.0000, 0.0000) [1 per cell]
Co (0.3333, 0.6667, 0.5000) [2 per cell]
F (0.0000, 0.3623, 0.7145) [6 per cell]